Entry 1:
Diffraction record for Ti2CuI6. The X-ray powder pattern is computed, not measured: it uses DFT lattice parameters and positions (GGA-PBE) and CuKα.

Crystal structure
a = 15.9973 Å, b = 15.4836 Å, c = 7.2547 Å
α = 90.00°, β = 116.78°, γ = 90.00°
Space group C2/c (No. 15)
One atom of each set of equivalent atoms:
Ti (0.2461, 0.0765, 0.1012) [8 per cell]
Cu (0.0000, 0.2540, 0.7500) [4 per cell]
I (0.0923, 0.1557, 0.0751) [8 per cell]
I (0.0944, 0.3538, 0.6164) [8 per cell]
I (0.2423, 0.0897, 0.7213) [8 per cell]

Largest 10 diffraction maxima, most intense first, 2θ = 10–90°:
(2 2 1), 25.2 deg, d 3.540, intensity 100; (2 0 -2), 24.5 deg, d 3.627, intensity 30; (2 2 0), 16.9 deg, d 5.249, intensity 28; (0 4 0), 23.0 deg, d 3.871, intensity 21; (2 4 -2), 33.9 deg, d 2.647, intensity 20; (6 4 0), 44.7 deg, d 2.029, intensity 20; (0 4 1), 26.8 deg, d 3.322, intensity 19; (6 2 -3), 43.6 deg, d 2.074, intensity 15; (4 6 0), 43.3 deg, d 2.092, intensity 15; (0 2 3), 43.5 deg, d 2.080, intensity 13


Entry 2:
Diffraction record for Sm2SbPt9. The X-ray powder pattern is computed, not measured: it uses DFT lattice parameters and positions (GGA-PBE) and CuKα.

Crystal structure
a = 4.1517 Å, b = 4.1517 Å, c = 12.3658 Å
α = 90.00°, β = 90.00°, γ = 90.00°
Space group P4/mmm (No. 123)
One atom of each set of equivalent atoms:
Sm (0.0000, 0.0000, 0.1664) [2 per cell]
Sb (0.0000, 0.0000, 0.5000) [1 per cell]
Pt (0.0000, 0.5000, 0.0000) [2 per cell]
Pt (0.0000, 0.5000, 0.3413) [4 per cell]
Pt (0.5000, 0.5000, 0.1729) [2 per cell]
Pt (0.5000, 0.5000, 0.5000) [1 per cell]

Largest 10 diffraction maxima, most intense first, 2θ = 10–90°:
(1 1 3), 37.6 deg, d 2.391, intensity 100; (2 0 0), 43.6 deg, d 2.076, intensity 34; (3 1 3), 76.1 deg, d 1.251, intensity 26; (2 0 6), 63.6 deg, d 1.463, intensity 21; (0 0 6), 43.9 deg, d 2.061, intensity 16; (1 1 9), 76.6 deg, d 1.244, intensity 12; (2 2 0), 63.4 deg, d 1.468, intensity 11; (2 2 6), 80.3 deg, d 1.196, intensity 11; (1 0 0), 21.4 deg, d 4.152, intensity 1; (1 0 3), 30.6 deg, d 2.925, intensity 1


Entry 3:
Diffraction record for CeUPa. The X-ray powder pattern is computed, not measured: it uses DFT lattice parameters and positions (GGA-PBE) and CuKα.

Crystal structure
a = 4.6233 Å, b = 4.8304 Å, c = 12.7921 Å
α = 90.00°, β = 90.00°, γ = 90.00°
Space group Cmme (No. 67)
One atom of each set of equivalent atoms:
Ce (0.0000, 0.2500, 0.0910) [4 per cell]
U (0.0000, 0.2500, 0.4396) [4 per cell]
Pa (0.0000, 0.2500, 0.7281) [4 per cell]

Largest 10 diffraction maxima, most intense first, 2θ = 10–90°:
(1 1 3), 34.1 deg, d 2.629, intensity 100; (2 0 0), 39.0 deg, d 2.311, intensity 34; (0 2 0), 37.2 deg, d 2.415, intensity 23; (1 3 3), 65.1 deg, d 1.432, intensity 18; (2 2 0), 55.0 deg, d 1.670, intensity 15; (3 1 3), 67.5 deg, d 1.388, intensity 14; (0 0 6), 42.4 deg, d 2.132, intensity 9; (2 2 6), 71.8 deg, d 1.315, intensity 8; (0 2 6), 57.7 deg, d 1.598, intensity 7; (1 1 8), 64.6 deg, d 1.442, intensity 7


Entry 4:
Diffraction record for PmNd4Hg2. The X-ray powder pattern is computed, not measured: it uses DFT lattice parameters and positions (GGA-PBE) and CuKα.

Crystal structure
a = 6.0971 Å, b = 9.1836 Å, c = 9.1916 Å
α = 62.40°, β = 75.69°, γ = 75.48°
Space group P1 (No. 1)
One atom of each set of equivalent atoms:
Pm (0.0000, 0.0000, 0.0000) [1 per cell]
Pm (0.2515, 0.9647, 0.2980) [1 per cell]
Nd (0.0323, 0.3981, 0.0689) [1 per cell]
Nd (0.0816, 0.7770, 0.7308) [1 per cell]
Nd (0.4159, 0.5284, 0.4944) [1 per cell]
Nd (0.4884, 0.1983, 0.8677) [1 per cell]
Nd (0.5283, 0.2540, 0.2676) [1 per cell]
Nd (0.5793, 0.7464, 0.0544) [1 per cell]
Nd (0.7533, 0.7857, 0.4706) [1 per cell]
Nd (0.9464, 0.2178, 0.5177) [1 per cell]
Hg (0.0767, 0.6101, 0.2420) [1 per cell]
Hg (0.4545, 0.0095, 0.6624) [1 per cell]
Hg (0.5321, 0.5431, 0.8670) [1 per cell]
Hg (0.9709, 0.3977, 0.7319) [1 per cell]

Largest 10 diffraction maxima, most intense first, 2θ = 10–90°:
(1 -1 2), 31.8 deg, d 2.811, intensity 100; (2 0 0), 30.7 deg, d 2.915, intensity 77; (0 2 3), 31.2 deg, d 2.868, intensity 43; (2 0 -1), 34.3 deg, d 2.615, intensity 33; (0 1 3), 30.3 deg, d 2.950, intensity 23; (2 2 2), 32.9 deg, d 2.719, intensity 23; (1 3 0), 34.6 deg, d 2.594, intensity 21; (-1 1 2), 28.2 deg, d 3.160, intensity 18; (1 2 4), 39.6 deg, d 2.277, intensity 16; (2 1 2), 32.1 deg, d 2.788, intensity 14